[1]
Structure and calculated powder diffraction line list of Na5Cu7O13 (DFT lattice parameters and positions (GGA-PBE); Cu Kα (λ = 1.5418 Å)).
Peak positions follow from Bragg's law for the DFT cell and can differ from measured ones.

Atomic structure:
```
data_Na5Cu7O13
_cell_length_a 6.902
_cell_length_b 6.925
_cell_length_c 7.567
_cell_angle_alpha 99.58
_cell_angle_beta 97.07
_cell_angle_gamma 103.81
_symmetry_space_group_name_H-M 'P 1'
_symmetry_Int_Tables_number 1
loop_
_symmetry_equiv_pos_as_xyz
'x,y,z'
loop_
_atom_site_label
_atom_site_fract_x
_atom_site_fract_y
_atom_site_fract_z
Na1 0.000 0.000 0.000
Na2 0.162 0.169 0.665
Na3 0.332 0.343 0.343
Na4 0.580 0.569 0.849
Na5 0.754 0.748 0.521
Cu1 0.027 0.520 0.949
Cu2 0.173 0.673 0.664
Cu3 0.308 0.829 0.381
Cu4 0.447 0.957 0.091
Cu5 0.584 0.081 0.799
Cu6 0.746 0.249 0.530
Cu7 0.886 0.390 0.241
O1 0.089 0.365 0.111
O2 0.094 0.827 0.511
O3 0.236 0.515 0.823
O4 0.262 0.987 0.228
O5 0.359 0.079 0.902
O6 0.389 0.674 0.536
O7 0.523 0.243 0.641
O8 0.650 0.928 0.965
O9 0.680 0.406 0.371
O10 0.807 0.087 0.687
O11 0.817 0.529 0.072
O12 0.957 0.676 0.789
O13 0.966 0.256 0.415
```

Principal peaks in the range 10° ≤ 2θ ≤ 90°, by angle:
2θ (°)	intensity	index
16.3	100	1 -1 0
27.1	57	1 1 1
31.5	35	2 0 1
32.0	65	0 2 1
32.9	18	2 -2 0
36.6	11	1 2 -2
36.9	19	1 0 -3
43.2	24	1 -2 3
43.5	12	0 3 -2
44.2	24	3 0 -2
55.4	12	1 -4 2
56.7	12	-3 2 3



[2]
Structure and calculated powder diffraction line list of Na6Cu9P8O32 (DFT lattice parameters and positions (GGA-PBE); Cu Kα (λ = 1.5418 Å)).
Peak positions follow from Bragg's law for the DFT cell and can differ from measured ones.

Atomic structure:
```
data_Na6Cu9P8O32
_cell_length_a 8.944
_cell_length_b 9.113
_cell_length_c 9.461
_cell_angle_alpha 112.93
_cell_angle_beta 100.24
_cell_angle_gamma 103.04
_symmetry_space_group_name_H-M 'P -1'
_symmetry_Int_Tables_number 2
loop_
_symmetry_equiv_pos_as_xyz
'x,y,z'
'-x,-y,-z'
loop_
_atom_site_label
_atom_site_fract_x
_atom_site_fract_y
_atom_site_fract_z
Na1 0.008 0.300 0.244
Na2 0.331 0.309 0.851
Na3 0.354 0.067 0.437
Cu1 0.000 0.000 0.500
Cu2 0.000 0.500 0.000
Cu3 0.193 0.732 0.434
Cu4 0.287 0.111 0.068
Cu5 0.344 0.699 0.944
Cu6 0.500 0.500 0.500
P1 0.034 0.879 0.148
P2 0.169 0.374 0.592
P3 0.341 0.588 0.232
P4 0.395 0.940 0.788
O1 0.008 0.662 0.498
O2 0.071 0.882 0.317
O3 0.094 0.738 0.040
O4 0.125 0.055 0.166
O5 0.148 0.163 0.923
O6 0.152 0.530 0.202
O7 0.195 0.203 0.572
O8 0.202 0.482 0.776
O9 0.276 0.457 0.514
O10 0.279 0.820 0.829
O11 0.305 0.944 0.635
O12 0.385 0.585 0.081
O13 0.394 0.770 0.372
O14 0.416 0.471 0.280
O15 0.442 0.124 0.933
O16 0.450 0.103 0.231
```

Principal peaks in the range 10° ≤ 2θ ≤ 90°, by angle:
2θ (°)	intensity	index
16.0	38	1 1 -1
21.4	46	0 0 2
26.7	34	2 1 -2
26.9	75	-1 2 1
29.6	26	1 -3 1
30.8	100	-3 1 1
31.1	43	1 -3 2
32.3	28	3 0 0
32.4	41	2 1 -3
32.9	39	1 -1 3
35.0	34	1 3 -1
35.1	34	-1 2 2